1.
# PmDy3
Theoretical powder X-ray diffraction pattern, Cu Kα (weighted mean of Kα1 and Kα2). Input: the GGA-PBE geometry in the Materials Project.
Neutral-atom scattering factors, no anomalous dispersion.

Main lines, by angle (5 to 70 degrees two-theta):
- 28.44 deg, rel. 23.5, hkl 2 0 0
- 31.00 deg, rel. 25.1, hkl 0 0 2
- 32.48 deg, rel. 100.0, hkl 2 0 1
- 42.57 deg, rel. 15.9, hkl 2 0 2
- 50.36 deg, rel. 19.5, hkl 2 2 0
- 56.09 deg, rel. 21.3, hkl 2 0 3
- 60.33 deg, rel. 22.7, hkl 2 2 2
- 61.22 deg, rel. 16.3, hkl 4 0 1
- 64.62 deg, rel. 3.1, hkl 0 0 4
- 68.01 deg, rel. 4.0, hkl 4 0 2

Atomic structure:
Unit cell a=7.2474 b=7.2474 c=5.7693 alpha=90.00 beta=90.00 gamma=120.00
Space group P6_3/mmc (No. 194)
One atom of each set of equivalent atoms:
Pm1 0.3333 0.6667 0.2500 [2 per cell]
Dy1 0.1655 0.3310 0.7500 [6 per cell]

***

2.
# Pm3Dy
Theoretical powder X-ray diffraction pattern, Cu Kα (weighted mean of Kα1 and Kα2). Input: the GGA-PBE geometry in the Materials Project.
Neutral-atom scattering factors, no anomalous dispersion.

Main lines, by angle (5 to 70 degrees two-theta):
- 28.23 deg, rel. 23.2, hkl 2 0 0
- 30.14 deg, rel. 26.2, hkl 0 0 2
- 32.08 deg, rel. 100.0, hkl 2 0 1
- 41.76 deg, rel. 16.2, hkl 2 0 2
- 49.97 deg, rel. 19.3, hkl 2 2 0
- 54.76 deg, rel. 22.1, hkl 2 0 3
- 59.47 deg, rel. 22.9, hkl 2 2 2
- 60.63 deg, rel. 16.2, hkl 4 0 1
- 62.65 deg, rel. 3.3, hkl 0 0 4
- 67.10 deg, rel. 4.0, hkl 4 0 2

Atomic structure:
Unit cell a=7.3006 b=7.3006 c=5.9310 alpha=90.00 beta=90.00 gamma=120.00
Space group P6_3/mmc (No. 194)
One atom of each set of equivalent atoms:
Pm1 0.1672 0.3344 0.2500 [6 per cell]
Dy1 0.3333 0.6667 0.7500 [2 per cell]

***

3.
# Pr3Dy
Theoretical powder X-ray diffraction pattern, Cu Kα (weighted mean of Kα1 and Kα2). Input: the GGA-PBE geometry in the Materials Project.
Neutral-atom scattering factors, no anomalous dispersion.

Main lines, by angle (5 to 70 degrees two-theta):
- 29.80 deg, rel. 100.0, hkl 1 1 1
- 34.54 deg, rel. 50.7, hkl 2 0 0
- 49.66 deg, rel. 36.4, hkl 2 2 0
- 58.99 deg, rel. 43.4, hkl 3 1 1
- 61.90 deg, rel. 12.5, hkl 2 2 2

Atomic structure:
Unit cell a=5.193 b=5.193 c=5.193 alpha=90.00 beta=90.00 gamma=90.00
Space group Pm-3m (No. 221)
One atom of each set of equivalent atoms:
Pr1 0.000 0.000 0.500 [3 per cell]
Dy1 0.500 0.500 0.500 [1 per cell]

***

4.
# PrDy3
Theoretical powder X-ray diffraction pattern, Cu Kα (weighted mean of Kα1 and Kα2). Input: the GGA-PBE geometry in the Materials Project.
Neutral-atom scattering factors, no anomalous dispersion.

Main lines, by angle (5 to 70 degrees two-theta):
- 30.53 deg, rel. 100.0, hkl 1 1 1
- 35.40 deg, rel. 50.7, hkl 2 0 0
- 50.93 deg, rel. 36.2, hkl 2 2 0
- 60.55 deg, rel. 43.0, hkl 3 1 1
- 63.55 deg, rel. 12.4, hkl 2 2 2

Atomic structure:
Unit cell a=5.072 b=5.072 c=5.072 alpha=90.00 beta=90.00 gamma=90.00
Space group Pm-3m (No. 221)
One atom of each set of equivalent atoms:
Pr1 0.000 0.000 0.000 [1 per cell]
Dy1 0.000 0.500 0.500 [3 per cell]

***

5.
# Pr3Dy
Theoretical powder X-ray diffraction pattern, Cu Kα (weighted mean of Kα1 and Kα2). Input: the GGA-PBE geometry in the Materials Project.
Neutral-atom scattering factors, no anomalous dispersion.

Main lines, by angle (5 to 70 degrees two-theta):
- 27.95 deg, rel. 23.1, hkl 2 0 0
- 29.62 deg, rel. 26.6, hkl 0 0 2
- 31.71 deg, rel. 100.0, hkl 2 0 1
- 41.18 deg, rel. 16.3, hkl 2 0 2
- 49.45 deg, rel. 19.3, hkl 2 2 0
- 53.89 deg, rel. 22.4, hkl 2 0 3
- 58.71 deg, rel. 23.0, hkl 2 2 2
- 59.95 deg, rel. 16.3, hkl 4 0 1
- 66.25 deg, rel. 4.0, hkl 4 0 2
- 68.86 deg, rel. 3.6, hkl 2 0 4

Atomic structure:
Unit cell a=7.3724 b=7.3724 c=6.0321 alpha=90.00 beta=90.00 gamma=120.00
Space group P6_3/mmc (No. 194)
One atom of each set of equivalent atoms:
Pr1 0.1675 0.3350 0.2500 [6 per cell]
Dy1 0.3333 0.6667 0.7500 [2 per cell]

***

6.
# Pr3Dy
Theoretical powder X-ray diffraction pattern, Cu Kα (weighted mean of Kα1 and Kα2). Input: the GGA-PBE geometry in the Materials Project.
Neutral-atom scattering factors, no anomalous dispersion.

Main lines, by angle (5 to 70 degrees two-theta):
- 29.77 deg, rel. 100.0, hkl 1 1 2
- 34.51 deg, rel. 50.7, hkl 2 0 0
- 49.60 deg, rel. 36.4, hkl 2 2 0
- 58.93 deg, rel. 43.4, hkl 3 1 2
- 61.82 deg, rel. 12.5, hkl 2 2 4

Atomic structure:
Unit cell a=5.196 b=5.196 c=10.405 alpha=90.00 beta=90.00 gamma=90.00
Space group I4/mmm (No. 139)
One atom of each set of equivalent atoms:
Pr1 0.000 0.000 0.000 [2 per cell]
Pr2 0.000 0.500 0.250 [4 per cell]
Dy1 0.000 0.000 0.500 [2 per cell]

***

7.
# PrDy3
Theoretical powder X-ray diffraction pattern, Cu Kα (weighted mean of Kα1 and Kα2). Input: the GGA-PBE geometry in the Materials Project.
Neutral-atom scattering factors, no anomalous dispersion.

Main lines, by angle (5 to 70 degrees two-theta):
- 30.52 deg, rel. 100.0, hkl 1 1 2
- 35.31 deg, rel. 34.0, hkl 2 0 0
- 35.55 deg, rel. 16.7, hkl 0 0 4
- 50.79 deg, rel. 12.1, hkl 2 2 0
- 50.97 deg, rel. 24.0, hkl 2 0 4
- 60.42 deg, rel. 28.8, hkl 3 1 2
- 60.75 deg, rel. 14.2, hkl 1 1 6
- 63.53 deg, rel. 12.4, hkl 2 2 4

Atomic structure:
Unit cell a=5.084 b=5.084 c=10.101 alpha=90.00 beta=90.00 gamma=90.00
Space group I4/mmm (No. 139)
One atom of each set of equivalent atoms:
Pr1 0.000 0.000 0.000 [2 per cell]
Dy1 0.000 0.000 0.500 [2 per cell]
Dy2 0.000 0.500 0.250 [4 per cell]

***

8.
# PrDy3
Theoretical powder X-ray diffraction pattern, Cu Kα (weighted mean of Kα1 and Kα2). Input: the GGA-PBE geometry in the Materials Project.
Neutral-atom scattering factors, no anomalous dispersion.

Main lines, by angle (5 to 70 degrees two-theta):
- 28.32 deg, rel. 23.5, hkl 2 0 0
- 30.81 deg, rel. 25.2, hkl 0 0 2
- 32.33 deg, rel. 100.0, hkl 2 0 1
- 42.34 deg, rel. 15.9, hkl 2 0 2
- 50.15 deg, rel. 19.5, hkl 2 2 0
- 55.75 deg, rel. 21.4, hkl 2 0 3
- 60.02 deg, rel. 22.8, hkl 2 2 2
- 60.93 deg, rel. 16.3, hkl 4 0 1
- 64.18 deg, rel. 3.1, hkl 0 0 4
- 67.67 deg, rel. 4.0, hkl 4 0 2

Atomic structure:
Unit cell a=7.2767 b=7.2767 c=5.8048 alpha=90.00 beta=90.00 gamma=120.00
Space group P6_3/mmc (No. 194)
One atom of each set of equivalent atoms:
Pr1 0.3333 0.6667 0.2500 [2 per cell]
Dy1 0.1650 0.3300 0.7500 [6 per cell]

***

9.
# Dy4Pt
Theoretical powder X-ray diffraction pattern, Cu Kα (weighted mean of Kα1 and Kα2). Input: the GGA-PBE geometry in the Materials Project.
Neutral-atom scattering factors, no anomalous dispersion.

Main lines, by angle (5 to 70 degrees two-theta):
- 22.93 deg, rel. 30.0, hkl 2 2 0
- 26.95 deg, rel. 9.9, hkl 3 1 1
- 28.17 deg, rel. 100.0, hkl 2 2 2
- 32.65 deg, rel. 22.9, hkl 4 0 0
- 35.67 deg, rel. 31.9, hkl 3 3 1
- 42.83 deg, rel. 29.1, hkl 5 1 1
- 46.84 deg, rel. 57.4, hkl 4 4 0
- 55.56 deg, rel. 34.5, hkl 6 2 2
- 60.24 deg, rel. 9.4, hkl 7 1 1
- 63.44 deg, rel. 10.1, hkl 6 4 2

Atomic structure:
Unit cell a=10.972 b=10.972 c=10.972 alpha=90.00 beta=90.00 gamma=90.00
Space group Fd-3m (No. 227, origin choice 2)
One atom of each set of equivalent atoms:
Dy1 0.014 0.014 0.236 [32 per cell]
Pt1 0.125 0.125 0.625 [8 per cell]

***

10.
# DyPt3
Theoretical powder X-ray diffraction pattern, Cu Kα (weighted mean of Kα1 and Kα2). Input: the GGA-PBE geometry in the Materials Project.
Neutral-atom scattering factors, no anomalous dispersion.

Main lines, by angle (5 to 70 degrees two-theta):
- 21.56 deg, rel. 0.5, hkl 1 0 0
- 37.81 deg, rel. 100.0, hkl 1 1 1
- 43.93 deg, rel. 49.4, hkl 2 0 0
- 63.88 deg, rel. 32.9, hkl 2 2 0

Atomic structure:
Unit cell a=4.122 b=4.122 c=4.122 alpha=90.00 beta=90.00 gamma=90.00
Space group Pm-3m (No. 221)
One atom of each set of equivalent atoms:
Dy1 0.000 0.000 0.000 [1 per cell]
Pt1 0.000 0.500 0.500 [3 per cell]

***

11.
# Dy5Pt4
Theoretical powder X-ray diffraction pattern, Cu Kα (weighted mean of Kα1 and Kα2). Input: the GGA-PBE geometry in the Materials Project.
Neutral-atom scattering factors, no anomalous dispersion.

Main lines, by angle (5 to 70 degrees two-theta):
- 29.21 deg, rel. 21.5, hkl 2 2 1
- 32.07 deg, rel. 100.0, hkl 1 3 2
- 32.20 deg, rel. 31.1, hkl 2 3 1
- 33.75 deg, rel. 64.9, hkl 2 0 2
- 33.91 deg, rel. 22.3, hkl 2 4 0
- 34.41 deg, rel. 28.3, hkl 1 5 1
- 36.01 deg, rel. 89.1, hkl 0 6 0
- 38.03 deg, rel. 29.5, hkl 3 0 1
- 38.23 deg, rel. 50.1, hkl 1 1 3
- 38.53 deg, rel. 44.5, hkl 3 1 1

Atomic structure:
Unit cell a=7.476 b=14.956 c=7.545 alpha=90.00 beta=90.00 gamma=90.00
Space group Pnma (No. 62)
One atom of each set of equivalent atoms:
Dy1 0.034 0.098 0.173 [8 per cell]
Dy2 0.120 0.619 0.335 [8 per cell]
Dy3 0.215 0.250 0.492 [4 per cell]
Pt1 0.085 0.250 0.882 [4 per cell]
Pt2 0.148 0.750 0.642 [4 per cell]
Pt3 0.212 0.044 0.523 [8 per cell]

***

12.
# Dy5SbPt2
Theoretical powder X-ray diffraction pattern, Cu Kα (weighted mean of Kα1 and Kα2). Input: the GGA-PBE geometry in the Materials Project.
Neutral-atom scattering factors, no anomalous dispersion.

Main lines, by angle (5 to 70 degrees two-theta):
- 12.94 deg, rel. 21.0, hkl 0 0 2
- 30.83 deg, rel. 10.3, hkl 1 1 4
- 32.47 deg, rel. 100.0, hkl 2 1 3
- 35.01 deg, rel. 17.4, hkl 2 0 4
- 36.71 deg, rel. 50.2, hkl 3 1 0
- 42.09 deg, rel. 21.0, hkl 2 1 5
- 52.72 deg, rel. 9.5, hkl 4 1 3
- 53.59 deg, rel. 8.2, hkl 0 0 8
- 66.72 deg, rel. 14.6, hkl 3 1 8
- 68.42 deg, rel. 16.5, hkl 5 2 3

Atomic structure:
Unit cell a=7.742 b=7.742 c=13.681 alpha=90.00 beta=90.00 gamma=90.00
Space group I4/mcm (No. 140)
One atom of each set of equivalent atoms:
Dy1 0.000 0.000 0.000 [4 per cell]
Dy2 0.158 0.342 0.138 [16 per cell]
Sb1 0.000 0.000 0.250 [4 per cell]
Pt1 0.138 0.362 0.500 [8 per cell]